No. 1
Calculated X-ray powder pattern
Compound: BiPd23Pt6
Radiation: Cu Kα (weighted mean of Kα1 and Kα2)
Structure: a DFT-relaxed cell (PBE, Alexandria)

Principal peaks in the range 5° ≤ 2θ ≤ 70°, low angle first:
2θ 11.27, rel. 5, hkl 0 0 2; 2θ 15.86, rel. 6, hkl 1 1 0; 2θ 19.50, rel. 3, hkl 1 1 2; 2θ 27.78, rel. 5, hkl 1 1 4; 2θ 34.06, rel. 3, hkl 2 2 2; 2θ 39.60, rel. 100, hkl 2 2 4; 2θ 45.94, rel. 33, hkl 4 0 0; 2θ 46.26, rel. 16, hkl 0 0 8; 2θ 66.99, rel. 10, hkl 4 4 0; 2θ 67.25, rel. 20, hkl 4 0 8

Cell and atoms:
```
data_BiPd23Pt6
_chemical_formula_sum 'Bi2 Pd46 Pt12'
_space_group_name_H-M_alt 'I 4/m m m'
_space_group_IT_number 139
_space_group_name_Hall '-I 4 2'
_cell_length_a 7.9020
_cell_length_b 7.9020
_cell_length_c 15.6993
_cell_angle_alpha 90.00
_cell_angle_beta 90.00
_cell_angle_gamma 90.00
loop_
_atom_site_label
_atom_site_type_symbol
_atom_site_fract_x
_atom_site_fract_y
_atom_site_fract_z
Bi1 Bi 0.0000 0.0000 0.0000
Pd1 Pd 0.0000 0.0000 0.5000
Pd2 Pd 0.0000 0.2505 0.3718
Pd3 Pd 0.0000 0.2572 0.1297
Pd4 Pd 0.0000 0.5000 0.0000
Pd5 Pd 0.2500 0.2500 0.2500
Pt1 Pt 0.0000 0.0000 0.2495
Pt2 Pt 0.2454 0.2454 0.5000
```


No. 2
Calculated X-ray powder pattern
Compound: Bi2Pd5Pt
Radiation: Cu Kα (weighted mean of Kα1 and Kα2)
Structure: a DFT-relaxed cell (PBE, Alexandria)

Principal peaks in the range 5° ≤ 2θ ≤ 70°, low angle first:
2θ 35.08, rel. 37, hkl 1 4 0; 2θ 36.15, rel. 30, hkl 2 0 0; 2θ 37.01, rel. 73, hkl 0 0 4; 2θ 39.26, rel. 100, hkl 1 4 -2; 2θ 39.67, rel. 42, hkl 2 0 -2; 2θ 40.39, rel. 98, hkl 1 4 2; 2θ 41.88, rel. 36, hkl 2 0 2; 2θ 64.32, rel. 29, hkl 3 4 0; 2θ 67.42, rel. 17, hkl 1 4 -6; 2θ 69.74, rel. 16, hkl 1 4 6

Cell and atoms:
```
data_Bi2Pd5Pt
_chemical_formula_sum 'Bi8 Pd20 Pt4'
_space_group_name_H-M_alt 'P 1 21/c 1'
_space_group_IT_number 14
_cell_length_a 4.9798
_cell_length_b 11.9337
_cell_length_c 9.7362
_cell_angle_alpha 90.00
_cell_angle_beta 93.66
_cell_angle_gamma 90.00
loop_
_space_group_symop_operation_xyz
'x,y,z'
'-x,-y,-z'
'-x,y+1/2,-z+1/2'
'x,-y+1/2,z+1/2'
loop_
_atom_site_label
_atom_site_type_symbol
_atom_site_fract_x
_atom_site_fract_y
_atom_site_fract_z
Bi1 Bi 0.1614 0.1362 0.4015
Bi2 Bi 0.3065 0.5104 0.6279
Pd1 Pd 0.1725 0.6298 0.3660
Pd2 Pd 0.1861 0.1227 0.8737
Pd3 Pd 0.3282 0.5010 0.1251
Pd4 Pd 0.3299 0.7484 0.1146
Pd5 Pd 0.3367 0.2468 0.1366
Pt1 Pt 0.1772 0.6349 0.8647
```